No. 1
NbTlCdS3: computed X-ray powder pattern (λ = 1.5418 Å (Cu Kα)), based on the PBE geometry in OQMD.

Structure:
```
NbTlCdS3
1.0
7.6052 0.0000 0.0000
0.0000 3.6052 0.0000
-3.1359 0.0000 10.6163
Nb Tl Cd S
2 2 2 6
direct
0.0403 0.2500 0.4061
0.9597 0.7500 0.5939
0.4842 0.2500 0.1862
0.5158 0.7500 0.8138
0.0214 0.7500 0.1301
0.9786 0.2500 0.8699
0.1982 0.2500 0.6300
0.2159 0.7500 0.9615
0.2422 0.7500 0.3485
0.7578 0.2500 0.6515
0.7841 0.2500 0.0385
0.8018 0.7500 0.3700
```

Principal peaks in the range 10° ≤ 2θ ≤ 80°, sorted by position:
Position (°2θ)	Rel. int.
16.58	20
17.66	33
23.37	26
24.41	51
27.83	22
29.79	26
29.89	55
30.52	61
34.27	100
40.22	23
44.16	29
50.64	20

***

No. 2
NdAgNO: computed X-ray powder pattern (λ = 1.5418 Å (Cu Kα)), based on the PBE geometry in OQMD.

Structure:
```
NdAgNO
1.0
6.5772 0.0000 0.0000
0.0000 6.2943 0.0000
0.0000 0.0000 5.9483
Nd Ag N O
4 4 4 4
direct
0.0858 0.2192 0.0000
0.4142 0.2192 0.5000
0.5858 0.7808 0.0000
0.9142 0.7808 0.5000
0.1079 0.6864 0.9925
0.3921 0.6864 0.4925
0.6079 0.3136 0.9925
0.8921 0.3136 0.4925
0.1583 0.5027 0.6643
0.3417 0.5027 0.1643
0.6583 0.4973 0.6643
0.8417 0.4973 0.1643
0.1115 0.0621 0.3545
0.3885 0.0621 0.8545
0.6115 0.9379 0.3545
0.8885 0.9379 0.8545
```

Principal peaks in the range 10° ≤ 2θ ≤ 80°, sorted by position:
Position (°2θ)	Rel. int.
24.64	11
27.12	12
28.36	45
30.05	68
31.07	100
31.51	15
35.02	32
41.79	44
42.57	74
54.00	31
62.11	17
62.68	17

***

No. 3
Ho3GeTe2: computed X-ray powder pattern (λ = 1.5418 Å (Cu Kα)), based on the PBE geometry in OQMD.

Structure:
```
Ho3GeTe2
1.0
3.7471 -6.3983 0.0000
3.7471 6.3983 0.0000
-2.4779 0.0000 6.9417
Ho Ge Te
6 2 4
direct
0.0000 0.5000 0.0000
0.1423 0.2888 0.4940
0.2888 0.1423 0.9940
0.5000 0.0000 0.5000
0.7112 0.8577 0.0060
0.8577 0.7112 0.5060
0.0903 0.9097 0.2500
0.9097 0.0903 0.7500
0.2594 0.7406 0.7500
0.4193 0.5807 0.2500
0.5807 0.4193 0.7500
0.7406 0.2594 0.2500
```

Principal peaks in the range 10° ≤ 2θ ≤ 80°, sorted by position:
Position (°2θ)	Rel. int.
29.41	50
29.56	100
41.91	34
42.21	18
42.43	56
52.42	18
52.75	10
61.36	11
69.66	15
69.88	8
77.15	10
77.73	9